Entry 1:
Calculated powder diffraction line list
Compound: CrSbO4
Radiation: a wavelength of 1.5418 Å
Structure: a DFT-relaxed cell (GGA+U, the Materials Project)
No peak broadening, texture or thermal motion is included.

Most intense lines, 2θ = 10–90°, sorted by position:
| 2θ/deg | Rel. int. |
| --- | --- |
| 24.25 | 100.0 |
| 35.87 | 17.1 |
| 37.04 | 21.7 |
| 37.14 | 16.0 |
| 45.74 | 23.1 |
| 52.43 | 22.4 |
| 52.59 | 15.8 |
| 60.33 | 13.9 |

Atomic structure:
```
CrSbO4
1.0
3.9671 0.0000 0.0000
0.0000 3.9671 0.0000
0.0000 0.0000 9.6825
Cr Sb O
2 2 8
direct
0.0000 0.0000 0.0000
0.5000 0.5000 0.5000
0.0000 0.5000 0.7500
0.5000 0.0000 0.2500
0.0000 0.0000 0.2082
0.0000 0.0000 0.7918
0.0000 0.5000 0.5453
0.0000 0.5000 0.9547
0.5000 0.0000 0.0453
0.5000 0.0000 0.4547
0.5000 0.5000 0.2918
0.5000 0.5000 0.7082
```

***

Entry 2:
Calculated powder diffraction line list
Compound: CrSbO4
Radiation: a wavelength of 1.5418 Å
Structure: a DFT-relaxed cell (GGA+U, the Materials Project)
No peak broadening, texture or thermal motion is included.

Most intense lines, 2θ = 10–90°, sorted by position:
| 2θ/deg | Rel. int. |
| --- | --- |
| 17.71 | 12.7 |
| 18.69 | 100.0 |
| 33.84 | 33.3 |
| 34.15 | 16.1 |
| 42.02 | 34.4 |
| 42.33 | 16.7 |
| 62.58 | 12.6 |
| 63.20 | 12.7 |

Atomic structure:
```
CrSbO4
1.0
5.0680 0.0000 0.0000
0.0000 3.1212 0.0000
-1.8684 0.0000 5.0079
Cr Sb O
1 1 4
direct
0.0000 0.0000 0.0000
0.0000 0.5000 0.5000
0.1975 0.5000 0.2375
0.2148 0.0000 0.7342
0.7852 0.0000 0.2658
0.8025 0.5000 0.7625
```

***

Entry 3:
Calculated powder diffraction line list
Compound: CrSbO4
Radiation: a wavelength of 1.5418 Å
Structure: a DFT-relaxed cell (GGA+U, the Materials Project)
No peak broadening, texture or thermal motion is included.

Most intense lines, 2θ = 10–90°, sorted by position:
| 2θ/deg | Rel. int. |
| --- | --- |
| 19.12 | 41.0 |
| 26.76 | 71.6 |
| 27.56 | 66.2 |
| 34.48 | 100.0 |
| 38.80 | 24.3 |
| 52.41 | 45.3 |
| 53.32 | 42.7 |
| 67.48 | 27.2 |

Atomic structure:
```
CrSbO4
1.0
6.4721 0.0000 0.0000
0.0000 6.6620 0.0000
0.0000 0.0000 3.1403
Cr Sb O
2 2 8
direct
0.0000 0.0000 0.0000
0.5000 0.5000 0.0000
0.0000 0.5000 0.5000
0.5000 0.0000 0.5000
0.0000 0.3061 0.0000
0.0000 0.6939 0.0000
0.1947 0.0000 0.5000
0.3053 0.5000 0.5000
0.5000 0.1939 0.0000
0.5000 0.8061 0.0000
0.6947 0.5000 0.5000
0.8053 0.0000 0.5000
```

***

Entry 4:
Calculated powder diffraction line list
Compound: Cr3SbO8
Radiation: a wavelength of 1.5418 Å
Structure: a DFT-relaxed cell (GGA+U, the Materials Project)
No peak broadening, texture or thermal motion is included.

Most intense lines, 2θ = 10–90°, sorted by position:
| 2θ/deg | Rel. int. |
| --- | --- |
| 19.49 | 56.9 |
| 19.82 | 100.0 |
| 26.09 | 18.1 |
| 33.86 | 19.6 |
| 35.73 | 23.1 |
| 36.14 | 32.4 |
| 36.33 | 28.2 |
| 62.63 | 21.1 |

Atomic structure:
```
Cr3SbO8
1.0
2.9915 -5.1249 0.0000
2.9915 5.1249 0.0000
-0.2275 0.0000 9.2749
Cr Sb O
6 2 16
direct
0.0827 0.9173 0.5000
0.4090 0.5799 0.0083
0.5785 0.9214 0.5154
0.5799 0.4090 0.5083
0.9173 0.0827 0.0000
0.9214 0.5785 0.0154
0.0899 0.4160 0.2869
0.4160 0.0899 0.7869
0.0710 0.4164 0.9027
0.0877 0.9245 0.9006
0.2198 0.2637 0.1308
0.2225 0.7058 0.1390
0.2637 0.2198 0.6308
0.2692 0.7953 0.6339
0.4164 0.0710 0.4027
0.4182 0.5834 0.3953
0.5834 0.4182 0.8953
0.5860 0.9255 0.9023
0.7058 0.2225 0.6390
0.7481 0.7587 0.5953
0.7587 0.7481 0.0953
0.7953 0.2692 0.1339
0.9245 0.0877 0.4006
0.9255 0.5860 0.4023
```

***

Entry 5:
Calculated powder diffraction line list
Compound: CrSbO4
Radiation: a wavelength of 1.5418 Å
Structure: a DFT-relaxed cell (GGA+U, the Materials Project)
No peak broadening, texture or thermal motion is included.

Most intense lines, 2θ = 10–90°, sorted by position:
| 2θ/deg | Rel. int. |
| --- | --- |
| 17.49 | 26.6 |
| 17.86 | 100.0 |
| 33.86 | 33.1 |
| 34.45 | 19.7 |
| 35.41 | 13.1 |
| 41.45 | 35.8 |
| 41.78 | 17.4 |
| 60.32 | 20.1 |

Atomic structure:
```
CrSbO4
1.0
-3.0341 3.1292 4.3239
3.0341 -3.1292 4.3239
3.0341 3.1292 -4.3239
Cr Sb O
2 2 8
direct
0.5000 0.0000 0.0000
0.5000 0.5000 0.5000
0.0000 0.0000 0.0000
0.5000 0.0000 0.5000
0.2608 0.2342 0.4734
0.2608 0.7875 0.0266
0.2644 0.2294 0.0350
0.3056 0.7706 0.5350
0.6944 0.2294 0.4650
0.7356 0.7706 0.9650
0.7392 0.2125 0.9734
0.7392 0.7658 0.5266
```

***

Entry 6:
Calculated powder diffraction line list
Compound: CrSb2O6
Radiation: a wavelength of 1.5418 Å
Structure: a DFT-relaxed cell (GGA+U, the Materials Project)
No peak broadening, texture or thermal motion is included.

Most intense lines, 2θ = 10–90°, sorted by position:
| 2θ/deg | Rel. int. |
| --- | --- |
| 20.78 | 15.5 |
| 26.39 | 100.0 |
| 33.74 | 74.2 |
| 51.40 | 33.8 |
| 51.50 | 32.9 |
| 54.32 | 16.6 |
| 64.51 | 15.5 |
| 65.37 | 11.8 |

Atomic structure:
```
CrSb2O6
1.0
4.7660 0.0000 0.0000
0.0000 4.7871 0.0000
0.0000 0.0000 9.5895
Cr Sb O
2 4 12
direct
0.0000 0.0000 0.2500
0.5000 0.5000 0.7500
0.0000 0.0000 0.5832
0.0000 0.0000 0.9170
0.5000 0.5000 0.0830
0.5000 0.5000 0.4168
0.1958 0.1880 0.0849
0.1956 0.1884 0.4158
0.1981 0.1911 0.7499
0.3019 0.6911 0.2501
0.3044 0.6884 0.5842
0.3042 0.6880 0.9151
0.6956 0.3116 0.5842
0.6958 0.3120 0.9151
0.6981 0.3089 0.2501
0.8019 0.8089 0.7499
0.8042 0.8120 0.0849
0.8044 0.8116 0.4158
```

***

Entry 7:
Calculated powder diffraction line list
Compound: Cr3Sb5O16
Radiation: a wavelength of 1.5418 Å
Structure: a DFT-relaxed cell (GGA+U, the Materials Project)
No peak broadening, texture or thermal motion is included.

Most intense lines, 2θ = 10–90°, sorted by position:
| 2θ/deg | Rel. int. |
| --- | --- |
| 17.91 | 30.5 |
| 18.91 | 100.0 |
| 24.53 | 42.3 |
| 31.87 | 26.3 |
| 34.30 | 46.1 |
| 34.84 | 40.2 |
| 43.62 | 33.3 |
| 57.97 | 18.4 |

Atomic structure:
```
Cr3Sb5O16
1.0
5.3242 -3.0824 0.0000
5.3242 3.0824 0.0000
-0.0299 0.0000 9.9046
Cr Sb O
3 5 16
direct
0.0000 0.0000 0.0000
0.1765 0.6652 0.4701
0.6652 0.1765 0.4701
0.0001 0.5063 0.0012
0.1602 0.1602 0.2703
0.4868 0.4868 0.7370
0.5063 0.0001 0.0012
0.6665 0.6665 0.4743
0.0003 0.4956 0.3645
0.0007 0.0007 0.3650
0.1469 0.6734 0.8998
0.1709 0.1709 0.8971
0.3133 0.3133 0.1284
0.3139 0.8840 0.1221
0.3542 0.3542 0.5833
0.3557 0.7940 0.5914
0.4956 0.0003 0.3645
0.5053 0.5053 0.3698
0.6705 0.6705 0.9035
0.6734 0.1469 0.8998
0.7940 0.3557 0.5914
0.8338 0.8338 0.5605
0.8363 0.8363 0.1082
0.8840 0.3139 0.1221
```

***

Entry 8:
Calculated powder diffraction line list
Compound: CrSb2O6
Radiation: a wavelength of 1.5418 Å
Structure: a DFT-relaxed cell (GGA+U, the Materials Project)
No peak broadening, texture or thermal motion is included.

Most intense lines, 2θ = 10–90°, sorted by position:
| 2θ/deg | Rel. int. |
| --- | --- |
| 18.90 | 100.0 |
| 26.57 | 69.6 |
| 27.05 | 67.4 |
| 28.02 | 59.6 |
| 33.74 | 75.8 |
| 39.48 | 55.5 |
| 51.14 | 35.3 |
| 52.83 | 40.4 |

Atomic structure:
```
CrSb2O6
1.0
2.6143 -4.6296 0.0000
2.6143 4.6296 0.0000
-0.2812 0.0000 4.6945
Cr Sb O
1 2 6
direct
0.0000 0.0000 0.0000
0.3330 0.6670 0.5000
0.6670 0.3330 0.5000
0.0106 0.3675 0.7321
0.3448 0.3448 0.2658
0.3675 0.0106 0.7321
0.6325 0.9894 0.2679
0.6552 0.6552 0.7342
0.9894 0.6325 0.2679
```

***

Entry 9:
Calculated powder diffraction line list
Compound: Cr13Si2Sb2O28
Radiation: a wavelength of 1.5418 Å
Structure: a DFT-relaxed cell (GGA+U, the Materials Project)
No peak broadening, texture or thermal motion is included.

Most intense lines, 2θ = 10–90°, sorted by position:
| 2θ/deg | Rel. int. |
| --- | --- |
| 10.51 | 64.2 |
| 21.10 | 64.0 |
| 31.43 | 70.0 |
| 31.88 | 97.8 |
| 31.97 | 100.0 |
| 34.87 | 82.5 |
| 48.37 | 55.1 |
| 55.90 | 66.8 |

Atomic structure:
```
Cr13Si2Sb2O28
1.0
5.7307 0.0000 0.0000
1.8895 8.4206 0.0000
2.8513 -0.0050 11.3179
Cr Si Sb O
13 2 2 28
direct
0.0000 0.0000 0.0000
0.0282 0.7240 0.8248
0.0867 0.3733 0.2592
0.1586 0.7239 0.5566
0.3069 0.9983 0.3828
0.3697 0.3736 0.6913
0.4381 0.7488 0.9988
0.5820 0.0233 0.8249
0.6551 0.3739 0.1233
0.7120 0.0231 0.5585
0.7442 0.7469 0.3827
0.7968 0.3735 0.8389
0.9444 0.3733 0.5436
0.1226 0.0529 0.6904
0.6165 0.6938 0.6921
0.2224 0.3741 0.9894
0.5189 0.3732 0.3931
0.0248 0.2452 0.6912
0.0743 0.4905 0.8270
0.0827 0.9765 0.5708
0.1142 0.7661 0.9688
0.2001 0.2465 0.4093
0.2106 0.4890 0.5548
0.2233 0.0067 0.2611
0.3254 0.7217 0.6929
0.3516 0.9799 0.9715
0.3659 0.2691 0.1240
0.3757 0.4782 0.2584
0.3928 0.7674 0.4113
0.4135 0.0251 0.6897
0.5234 0.7387 0.1204
0.5298 0.2580 0.8275
0.5431 0.5001 0.9730
0.6309 0.9810 0.4130
0.6571 0.7704 0.8114
0.6659 0.2566 0.5555
0.7151 0.5017 0.6913
0.7737 0.7715 0.5731
0.7920 0.0044 0.1204
0.7982 0.2689 0.2583
0.8227 0.5005 0.4094
0.9206 0.2463 0.9731
0.9434 0.4782 0.1243
0.9510 0.7419 0.2618
0.9658 0.9755 0.8097
```

***

Entry 10:
Calculated powder diffraction line list
Compound: Cr3Sn2Sb3O16
Radiation: a wavelength of 1.5418 Å
Structure: a DFT-relaxed cell (GGA+U, the Materials Project)
No peak broadening, texture or thermal motion is included.

Most intense lines, 2θ = 10–90°, sorted by position:
| 2θ/deg | Rel. int. |
| --- | --- |
| 18.73 | 34.4 |
| 19.15 | 100.0 |
| 25.18 | 44.1 |
| 32.98 | 34.8 |
| 34.80 | 33.8 |
| 35.02 | 38.7 |
| 44.51 | 25.1 |
| 59.92 | 28.8 |

Atomic structure:
```
Cr3Sn2Sb3O16
1.0
5.3012 -3.0775 0.0000
5.3012 3.0775 0.0000
-0.0097 0.0000 9.4776
Cr Sn Sb O
3 2 3 16
direct
0.0000 0.0000 0.0000
0.1670 0.6612 0.4990
0.6612 0.1670 0.4990
0.1544 0.1544 0.2947
0.4854 0.4854 0.7680
0.4946 0.9992 0.0026
0.6630 0.6630 0.5009
0.9992 0.4946 0.0026
0.1567 0.6611 0.8950
0.1658 0.1658 0.8891
0.3097 0.8752 0.1213
0.3121 0.3121 0.1270
0.3476 0.3476 0.6182
0.3505 0.7910 0.6271
0.5005 0.5005 0.3941
0.5023 0.9896 0.3872
0.6611 0.1567 0.8950
0.6640 0.6640 0.8937
0.7910 0.3505 0.6271
0.8280 0.8280 0.5978
0.8302 0.8302 0.1033
0.8752 0.3097 0.1213
0.9887 0.9887 0.3907
0.9896 0.5023 0.3872
```

***

Entry 11:
Calculated powder diffraction line list
Compound: SrCrSnSbO6
Radiation: a wavelength of 1.5418 Å
Structure: a DFT-relaxed cell (GGA+U, the Materials Project)
No peak broadening, texture or thermal motion is included.

Most intense lines, 2θ = 10–90°, sorted by position:
| 2θ/deg | Rel. int. |
| --- | --- |
| 19.21 | 10.1 |
| 31.63 | 100.0 |
| 37.27 | 5.8 |
| 45.34 | 33.7 |
| 56.33 | 39.4 |
| 66.05 | 20.2 |
| 75.09 | 17.2 |
| 83.75 | 6.9 |

Atomic structure:
```
SrCrSnSbO6
1.0
0.0000 4.0007 4.0007
4.0007 0.0000 4.0007
4.0007 4.0007 0.0000
Sr Cr Sn Sb O
1 1 1 1 6
direct
0.0000 0.0000 0.0000
0.2500 0.2500 0.2500
0.5000 0.5000 0.5000
0.7500 0.7500 0.7500
0.5015 0.5015 0.9985
0.5015 0.9985 0.5015
0.5015 0.9985 0.9985
0.9985 0.5015 0.5015
0.9985 0.5015 0.9985
0.9985 0.9985 0.5015
```